Theoretical X-ray diffraction stick pattern
Compound: CaMn2PbCl8
Radiation: λ = 1.5418 Å (Cu Kα)
Structure: a crystal structure in Alexandria, relaxed with PBE
No peak broadening, texture or thermal motion is included.

Crystal structure
a = 6.2133 Å, b = 8.0141 Å, c = 6.4442 Å
α = 90.00°, β = 90.45°, γ = 90.00°
Space group P2/m (No. 10)
Unique sites:
Ca 0.0000 0.0000 0.0000
Mn 0.5000 0.2456 0.5000
Pb 0.0000 0.5000 0.0000
Cl 0.2475 0.2376 0.1893
Cl 0.2880 0.0000 0.6624
Cl 0.2950 0.5000 0.6505

Main lines, in order of rising 2θ (2θ from 15° to 90°):
- hkl 0 1 1, 5.022 Å, 17.7 deg, I = 35
- hkl 1 1 0, 4.910 Å, 18.1 deg, I = 37
- hkl 1 0 -1, 4.491 Å, 19.8 deg, I = 100
- hkl 1 0 1, 4.455 Å, 19.9 deg, I = 80
- hkl 1 2 0, 3.367 Å, 26.5 deg, I = 62
- hkl 1 2 1, 2.979 Å, 30.0 deg, I = 72
- hkl 1 2 -2, 2.333 Å, 38.6 deg, I = 36
- hkl 2 2 -1, 2.299 Å, 39.2 deg, I = 69
- hkl 2 2 1, 2.290 Å, 39.4 deg, I = 42
- hkl 0 2 3, 1.893 Å, 48.1 deg, I = 44

Theoretical X-ray diffraction stick pattern
Compound: Sr2CaSc
Radiation: λ = 1.5418 Å (Cu Kα)
Structure: a crystal structure in Alexandria, relaxed with PBE
No peak broadening, texture or thermal motion is included.

Crystal structure
a = 4.5451 Å, b = 6.0257 Å, c = 11.9627 Å
α = 90.00°, β = 90.00°, γ = 90.00°
Space group Cmmm (No. 65)
Unique sites:
Sr 0.0000 0.0000 0.2291
Ca 0.0000 0.5000 0.5000
Sc 0.0000 0.5000 0.0000

Main lines, in order of rising 2θ (2θ from 15° to 90°):
- hkl 1 1 2, 3.102 Å, 28.8 deg, I = 100
- hkl 0 2 0, 3.013 Å, 29.7 deg, I = 24
- hkl 0 0 4, 2.991 Å, 29.9 deg, I = 20
- hkl 2 0 0, 2.273 Å, 39.7 deg, I = 11
- hkl 0 2 4, 2.123 Å, 42.6 deg, I = 16
- hkl 2 2 0, 1.814 Å, 50.3 deg, I = 11
- hkl 1 3 2, 1.756 Å, 52.1 deg, I = 18
- hkl 1 1 6, 1.747 Å, 52.4 deg, I = 12
- hkl 2 2 4, 1.551 Å, 59.6 deg, I = 10
- hkl 3 1 2, 1.427 Å, 65.4 deg, I = 9

Theoretical X-ray diffraction stick pattern
Compound: Ac6Co3Ag2
Radiation: λ = 1.5418 Å (Cu Kα)
Structure: a crystal structure in Alexandria, relaxed with PBE
No peak broadening, texture or thermal motion is included.

Crystal structure
a = 7.3348 Å, b = 12.7078 Å, c = 8.1107 Å
α = 90.00°, β = 107.49°, γ = 90.00°
Space group C2/m (No. 12)
Unique sites:
Ac 0.2324 0.1687 0.2036
Ac 0.2384 0.5000 0.2040
Co 0.0000 0.0000 0.0000
Co 0.0000 0.3337 0.0000
Ag 0.0000 0.1665 0.5000

Main lines, in order of rising 2θ (2θ from 15° to 90°):
- hkl 2 0 0, 3.497 Å, 25.5 deg, I = 39
- hkl 1 3 1, 3.100 Å, 28.8 deg, I = 100
- hkl 2 0 1, 2.878 Å, 31.1 deg, I = 13
- hkl 1 3 2, 2.459 Å, 36.5 deg, I = 13
- hkl 1 3 -3, 2.275 Å, 39.6 deg, I = 29
- hkl 0 6 0, 2.118 Å, 42.7 deg, I = 39
- hkl 2 6 -2, 1.749 Å, 52.3 deg, I = 19
- hkl 3 3 2, 1.636 Å, 56.2 deg, I = 13
- hkl 1 3 4, 1.605 Å, 57.4 deg, I = 13
- hkl 5 3 -3, 1.348 Å, 69.7 deg, I = 17

Theoretical X-ray diffraction stick pattern
Compound: Pm5Pr2TmTh
Radiation: λ = 1.5418 Å (Cu Kα)
Structure: a crystal structure in Alexandria, relaxed with PBE
No peak broadening, texture or thermal motion is included.

Crystal structure
a = 5.6983 Å, b = 20.7122 Å, c = 10.6222 Å
α = 90.00°, β = 90.00°, γ = 90.00°
Space group Cmc2_1 (No. 36)
Unique sites:
Pm 0.0000 0.0143 0.0000
Pm 0.0000 0.2750 0.2981
Pm 0.0000 0.2940 0.6878
Pm 0.0000 0.3833 0.0066
Pm 0.0000 0.4837 0.7282
Pr 0.0000 0.1150 0.2953
Pr 0.0000 0.1149 0.7163
Tm 0.0000 0.4040 0.4459
Th 0.0000 0.1983 0.9951

Main lines, in order of rising 2θ (2θ from 15° to 90°):
- hkl 0 6 1, 3.283 Å, 27.2 deg, I = 16
- hkl 1 1 3, 2.976 Å, 30.0 deg, I = 36
- hkl 2 0 0, 2.849 Å, 31.4 deg, I = 38
- hkl 1 5 2, 2.834 Å, 31.6 deg, I = 100
- hkl 0 0 4, 2.656 Å, 33.7 deg, I = 14
- hkl 2 0 4, 1.943 Å, 46.8 deg, I = 11
- hkl 0 6 5, 1.809 Å, 50.4 deg, I = 10
- hkl 3 5 2, 1.642 Å, 56.0 deg, I = 22
- hkl 1 11 3, 1.596 Å, 57.8 deg, I = 11
- hkl 2 6 5, 1.527 Å, 60.6 deg, I = 11

Theoretical X-ray diffraction stick pattern
Compound: HoPa2Pt9
Radiation: λ = 1.5418 Å (Cu Kα)
Structure: a crystal structure in Alexandria, relaxed with PBE
No peak broadening, texture or thermal motion is included.

Crystal structure
a = 4.1631 Å, b = 4.1631 Å, c = 12.4236 Å
α = 90.00°, β = 90.00°, γ = 90.00°
Space group P4/mmm (No. 123)
Unique sites:
Ho 0.0000 0.0000 0.0000
Pa 0.0000 0.0000 0.3303
Pt 0.0000 0.5000 0.1671
Pt 0.0000 0.5000 0.5000
Pt 0.5000 0.5000 0.0000
Pt 0.5000 0.5000 0.3322

Main lines, in order of rising 2θ (2θ from 15° to 90°):
- hkl 1 1 3, 2.399 Å, 37.5 deg, I = 100
- hkl 2 0 0, 2.082 Å, 43.5 deg, I = 33
- hkl 0 0 6, 2.071 Å, 43.7 deg, I = 16
- hkl 2 2 0, 1.472 Å, 63.2 deg, I = 11
- hkl 2 0 6, 1.468 Å, 63.4 deg, I = 22
- hkl 3 1 3, 1.255 Å, 75.8 deg, I = 26
- hkl 1 1 9, 1.250 Å, 76.2 deg, I = 13
- hkl 2 2 6, 1.200 Å, 80.0 deg, I = 12

Theoretical X-ray diffraction stick pattern
Compound: Na3BBr6
Radiation: λ = 1.5418 Å (Cu Kα)
Structure: a crystal structure in Alexandria, relaxed with PBE
No peak broadening, texture or thermal motion is included.

Crystal structure
a = 12.0162 Å, b = 15.1809 Å, c = 7.7495 Å
α = 90.00°, β = 90.00°, γ = 90.00°
Space group Cmc2_1 (No. 36)
Unique sites:
Na 0.0000 0.0554 0.0000
Na 0.2390 0.3948 0.9366
B 0.0000 0.3001 0.1866
Br 0.0000 0.3117 0.4430
Br 0.0000 0.4203 0.0661
Br 0.1383 0.2316 0.1049
Br 0.1661 0.0269 0.7307

Main lines, in order of rising 2θ (2θ from 15° to 90°):
- hkl 1 3 0, 4.664 Å, 19.0 deg, I = 32
- hkl 3 1 0, 3.873 Å, 23.0 deg, I = 100
- hkl 1 1 2, 3.584 Å, 24.8 deg, I = 31
- hkl 3 1 1, 3.464 Å, 25.7 deg, I = 35
- hkl 0 2 2, 3.451 Å, 25.8 deg, I = 30
- hkl 0 4 1, 3.408 Å, 26.1 deg, I = 54
- hkl 3 3 1, 2.911 Å, 30.7 deg, I = 100
- hkl 1 1 3, 2.491 Å, 36.1 deg, I = 35
- hkl 3 3 2, 2.440 Å, 36.8 deg, I = 32
- hkl 4 2 2, 2.266 Å, 39.8 deg, I = 52